Record 1
Simulated powder XRD pattern
Compound: La2Pr3Au4
Radiation: Cu Kα (weighted mean of Kα1 and Kα2)
Structure: the PBE geometry in Alexandria
Kinematic intensities with the Lorentz-polarization factor, no thermal factor.

```
data_La2Pr3Au4
_space_group_name_H-M_alt 'P 1 21/c 1'
_space_group_IT_number 14
_cell_length_a 8.9939
_cell_length_b 8.0859
_cell_length_c 7.5553
_cell_angle_alpha 90.00
_cell_angle_beta 110.38
_cell_angle_gamma 90.00
loop_
_space_group_symop_operation_xyz
'x,y,z'
'-x,-y,-z'
'-x,y+1/2,-z+1/2'
'x,-y+1/2,z+1/2'
loop_
_atom_site_label
_atom_site_type_symbol
_atom_site_fract_x
_atom_site_fract_y
_atom_site_fract_z
La1 La 0.1847 0.1804 0.0497
Pr1 Pr 0.2421 0.6682 0.2374
Pr2 Pr 0.5000 0.0000 0.5000
Au1 Au 0.0720 0.5311 0.8366
Au2 Au 0.4808 0.1393 0.8683
```

Largest 8 diffraction maxima, in order of falling intensity, 2θ = 5–70°:
2θ = 32.6°, I 100; 2θ = 30.2°, I 69; 2θ = 37.5°, I 54; 2θ = 35.6°, I 43; 2θ = 30.6°, I 36; 2θ = 33.1°, I 35; 2θ = 36.0°, I 34; 2θ = 28.9°, I 33



Record 2
Simulated powder XRD pattern
Compound: Pu2TcN
Radiation: Cu Kα (weighted mean of Kα1 and Kα2)
Structure: the PBE geometry in Alexandria
Kinematic intensities with the Lorentz-polarization factor, no thermal factor.

```
data_Pu2TcN
_space_group_name_H-M_alt 'R -3 m'
_space_group_IT_number 166
_space_group_name_Hall '-R 3 2"'
_cell_length_a 3.2683
_cell_length_b 3.2683
_cell_length_c 23.7780
_cell_angle_alpha 90.00
_cell_angle_beta 90.00
_cell_angle_gamma 120.00
loop_
_atom_site_label
_atom_site_type_symbol
_atom_site_fract_x
_atom_site_fract_y
_atom_site_fract_z
Pu1 Pu 0.0000 0.0000 0.1045
Tc1 Tc 0.0000 0.0000 0.0000
N1 N 0.0000 0.0000 0.5000
```

Largest 8 diffraction maxima, in order of falling intensity, 2θ = 5–70°:
2θ = 31.8°, I 100; 2θ = 37.0°, I 46; 2θ = 50.1°, I 43; 2θ = 33.9°, I 37; 2θ = 56.3°, I 33; 2θ = 67.4°, I 32; 2θ = 35.1°, I 32; 2θ = 32.5°, I 25



Record 3
Simulated powder XRD pattern
Compound: Th4SnH3Rh12
Radiation: Cu Kα (weighted mean of Kα1 and Kα2)
Structure: the PBE geometry in Alexandria
Kinematic intensities with the Lorentz-polarization factor, no thermal factor.

```
data_Th4SnH3Rh12
_space_group_name_H-M_alt 'I m -3 m'
_space_group_IT_number 229
_space_group_name_Hall '-I 4 2 3'
_cell_length_a 8.6153
_cell_length_b 8.6153
_cell_length_c 8.6153
_cell_angle_alpha 90.00
_cell_angle_beta 90.00
_cell_angle_gamma 90.00
loop_
_atom_site_label
_atom_site_type_symbol
_atom_site_fract_x
_atom_site_fract_y
_atom_site_fract_z
Th1 Th 0.2500 0.2500 0.2500
Sn1 Sn 0.0000 0.0000 0.0000
H1 H 0.0000 0.0000 0.5000
Rh1 Rh 0.0000 0.0000 0.2932
Rh2 Rh 0.0000 0.2500 0.5000
```

Largest 8 diffraction maxima, in order of falling intensity, 2θ = 5–70°:
2θ = 36.1°, I 100; 2θ = 41.9°, I 62; 2θ = 60.8°, I 37; 2θ = 29.3°, I 29; 2θ = 68.9°, I 9; 2θ = 52.0°, I 9; 2θ = 39.1°, I 8; 2θ = 47.2°, I 7



Record 4
Simulated powder XRD pattern
Compound: KNa2AlAu
Radiation: Cu Kα (weighted mean of Kα1 and Kα2)
Structure: the PBE geometry in Alexandria
Kinematic intensities with the Lorentz-polarization factor, no thermal factor.

```
data_KNa2AlAu
_space_group_name_H-M_alt 'P 4/m m m'
_space_group_IT_number 123
_space_group_name_Hall '-P 4 2'
_cell_length_a 5.7764
_cell_length_b 5.7764
_cell_length_c 4.8892
_cell_angle_alpha 90.00
_cell_angle_beta 90.00
_cell_angle_gamma 90.00
loop_
_atom_site_label
_atom_site_type_symbol
_atom_site_fract_x
_atom_site_fract_y
_atom_site_fract_z
K1 K 0.0000 0.0000 0.0000
Na1 Na 0.0000 0.5000 0.5000
Al1 Al 0.5000 0.5000 0.0000
Au1 Au 0.5000 0.5000 0.5000
```

Largest 8 diffraction maxima, in order of falling intensity, 2θ = 5–70°:
2θ = 15.3°, I 100; 2θ = 23.8°, I 99; 2θ = 21.8°, I 65; 2θ = 31.0°, I 57; 2θ = 39.5°, I 54; 2θ = 48.8°, I 32; 2θ = 18.1°, I 32; 2θ = 34.7°, I 29



Record 5
Simulated powder XRD pattern
Compound: Rb2SOF5
Radiation: Cu Kα (weighted mean of Kα1 and Kα2)
Structure: the PBE geometry in Alexandria
Kinematic intensities with the Lorentz-polarization factor, no thermal factor.

```
data_Rb2SOF5
_space_group_name_H-M_alt 'I 4 m m'
_space_group_IT_number 107
_space_group_name_Hall 'I 4 -2'
_cell_length_a 5.9977
_cell_length_b 5.9977
_cell_length_c 9.0590
_cell_angle_alpha 90.00
_cell_angle_beta 90.00
_cell_angle_gamma 90.00
loop_
_atom_site_label
_atom_site_type_symbol
_atom_site_fract_x
_atom_site_fract_y
_atom_site_fract_z
Rb1 Rb 0.0000 0.5000 0.0000
S1 S 0.0000 0.0000 0.2377
O1 O 0.0000 0.0000 0.0760
F1 F 0.0000 0.0000 0.4762
F2 F 0.2134 0.2134 0.2589
```

Largest 8 diffraction maxima, in order of falling intensity, 2θ = 5–70°:
2θ = 28.8°, I 100; 2θ = 35.9°, I 96; 2θ = 42.6°, I 46; 2θ = 17.7°, I 45; 2θ = 29.8°, I 41; 2θ = 52.3°, I 32; 2θ = 20.9°, I 30; 2θ = 39.8°, I 26



Record 6
Simulated powder XRD pattern
Compound: InCuSO
Radiation: Cu Kα (weighted mean of Kα1 and Kα2)
Structure: the PBE geometry in Alexandria
Kinematic intensities with the Lorentz-polarization factor, no thermal factor.

```
data_InCuSO
_space_group_name_H-M_alt 'P 4/n m m'
_space_group_IT_number 129
_cell_length_a 3.8332
_cell_length_b 3.8332
_cell_length_c 8.1813
_cell_angle_alpha 90.00
_cell_angle_beta 90.00
_cell_angle_gamma 90.00
loop_
_space_group_symop_operation_xyz
'x,y,z'
'-x,-y,-z'
'-y+1/2,x,z'
'y+1/2,-x,-z'
'-x+1/2,-y+1/2,z'
'x+1/2,y+1/2,-z'
'y,-x+1/2,z'
'-y,x+1/2,-z'
'x+1/2,-y,-z'
'-x+1/2,y,z'
'-y,-x,-z'
'y,x,z'
'-x,y+1/2,-z'
'x,-y+1/2,z'
'y+1/2,x+1/2,-z'
'-y+1/2,-x+1/2,z'
loop_
_atom_site_label
_atom_site_type_symbol
_atom_site_fract_x
_atom_site_fract_y
_atom_site_fract_z
In1 In 0.2500 0.2500 0.1277
Cu1 Cu 0.2500 0.7500 0.5000
S1 S 0.2500 0.2500 0.6733
O1 O 0.2500 0.7500 0.0000
```

Largest 8 diffraction maxima, in order of falling intensity, 2θ = 5–70°:
2θ = 32.0°, I 100; 2θ = 34.9°, I 54; 2θ = 47.4°, I 42; 2θ = 56.4°, I 40; 2θ = 58.4°, I 33; 2θ = 39.9°, I 30; 2θ = 25.7°, I 24; 2θ = 40.6°, I 17